Entry 1:
Starting from a crystal structure in the Materials Project, relaxed with GGA-PBE, the X-ray powder pattern of K3Nb3Si2O13 was computed for Cu Kα, 1.54184 Å.
Kinematic intensities with the Lorentz-polarization factor, no thermal factor.

Largest 12 diffraction maxima, most intense first, 2θ from 10° to 90°:
- 29.55 deg, rel. 100, hkl 2 1 0
- 19.20 deg, rel. 23, hkl 1 1 0
- 31.67 deg, rel. 23, hkl 2 0 2
- 22.32 deg, rel. 22, hkl 0 0 2
- 55.21 deg, rel. 18, hkl 2 1 4
- 24.96 deg, rel. 14, hkl 1 0 2
- 11.05 deg, rel. 14, hkl 1 0 0
- 45.55 deg, rel. 14, hkl 0 0 4
- 51.06 deg, rel. 13, hkl 4 0 2
- 45.31 deg, rel. 12, hkl 4 0 0
- 55.05 deg, rel. 11, hkl 3 2 2
- 37.31 deg, rel. 10, hkl 2 1 2

Atomic structure:
Unit cell a=9.247 b=9.247 c=7.966 alpha=90.00 beta=90.00 gamma=120.00
Fractional coordinates of all 42 atoms:
K 0.032 0.416 0.250
K 0.384 0.968 0.250
K 0.416 0.032 0.750
K 0.584 0.616 0.250
K 0.616 0.584 0.750
K 0.968 0.384 0.750
Nb 0.000 0.762 0.000
Nb 0.000 0.762 0.500
Nb 0.238 0.238 0.000
Nb 0.238 0.238 0.500
Nb 0.762 0.000 0.000
Nb 0.762 0.000 0.500
Si 0.333 0.667 0.545
Si 0.333 0.667 0.955
Si 0.667 0.333 0.045
Si 0.667 0.333 0.455
O 0.000 0.175 0.000
O 0.000 0.175 0.500
O 0.011 0.754 0.750
O 0.175 0.000 0.000
O 0.175 0.000 0.500
O 0.181 0.693 0.020
O 0.181 0.693 0.480
O 0.246 0.257 0.750
O 0.257 0.246 0.250
O 0.307 0.488 0.020
O 0.307 0.488 0.480
O 0.333 0.667 0.750
O 0.488 0.307 0.520
O 0.488 0.307 0.980
O 0.512 0.819 0.020
O 0.512 0.819 0.480
O 0.667 0.333 0.250
O 0.693 0.181 0.520
O 0.693 0.181 0.980
O 0.743 0.989 0.750
O 0.754 0.011 0.250
O 0.819 0.512 0.520
O 0.819 0.512 0.980
O 0.825 0.825 0.000
O 0.825 0.825 0.500
O 0.989 0.743 0.250

---

Entry 2:
Starting from a crystal structure in the Materials Project, relaxed with GGA-PBE, the X-ray powder pattern of K4Nb2Si8O23 was computed for Cu Kα, 1.54184 Å.
Kinematic intensities with the Lorentz-polarization factor, no thermal factor.

Largest 12 diffraction maxima, most intense first, 2θ from 10° to 90°:
- 24.27 deg, rel. 100, hkl 0 2 0
- 27.12 deg, rel. 93, hkl 1 1 3
- 15.07 deg, rel. 51, hkl 1 1 0
- 35.58 deg, rel. 49, hkl 1 -1 3
- 30.41 deg, rel. 45, hkl 2 2 0
- 16.41 deg, rel. 38, hkl 0 0 2
- 20.85 deg, rel. 33, hkl 1 -1 0
- 27.48 deg, rel. 31, hkl 1 0 -3
- 17.78 deg, rel. 29, hkl 0 1 2
- 30.90 deg, rel. 28, hkl 1 1 -3
- 27.82 deg, rel. 24, hkl 2 1 -1
- 33.34 deg, rel. 24, hkl 2 -1 0

Atomic structure:
Unit cell a=6.883 b=7.963 c=11.163 alpha=75.92 beta=89.20 gamma=72.08
Fractional coordinates of all 37 atoms:
K 0.167 0.299 0.352
K 0.222 0.244 0.019
K 0.778 0.756 0.981
K 0.833 0.701 0.648
Nb 0.285 0.727 0.810
Nb 0.715 0.273 0.190
Si 0.014 0.182 0.715
Si 0.327 0.696 0.124
Si 0.331 0.696 0.495
Si 0.470 0.106 0.712
Si 0.530 0.894 0.288
Si 0.669 0.304 0.505
Si 0.673 0.304 0.876
Si 0.986 0.818 0.285
O 0.048 0.966 0.754
O 0.094 0.722 0.175
O 0.114 0.596 0.863
O 0.125 0.709 0.416
O 0.227 0.231 0.690
O 0.270 0.717 0.631
O 0.318 0.782 0.976
O 0.426 0.855 0.422
O 0.431 0.815 0.189
O 0.449 0.479 0.162
O 0.498 0.108 0.239
O 0.500 0.500 0.500
O 0.502 0.892 0.761
O 0.551 0.521 0.838
O 0.569 0.185 0.811
O 0.574 0.145 0.578
O 0.682 0.218 0.024
O 0.730 0.283 0.369
O 0.773 0.769 0.310
O 0.875 0.291 0.584
O 0.886 0.404 0.137
O 0.906 0.278 0.825
O 0.952 0.034 0.246